Calculated powder diffractogram
Compound: La2Nd3Dy7
Radiation: a wavelength of 1.5418 Å
Structure: a cell relaxed with PBE
No peak broadening, texture or thermal motion is included.

Atomic structure:
Cell: 6.419 3.562 17.726 Å, 90.00 96.29 90.00°
Positions (direct):
La 0.055 0.000 0.173
La 0.945 0.000 0.827
Nd 0.455 0.500 0.841
Nd 0.500 0.000 0.500
Nd 0.545 0.500 0.159
Dy 0.000 0.500 0.500
Dy 0.226 0.000 0.664
Dy 0.256 0.000 0.001
Dy 0.274 0.500 0.338
Dy 0.726 0.500 0.662
Dy 0.744 0.000 0.999
Dy 0.774 0.000 0.336

Principal peaks in the range 2θ from 10° to 80°, most intense first:
d [Å]  I_rel
2.885  100
2.936  96
2.942  85
2.607  73
2.683  65
3.035  53
1.523  51
1.755  42
1.834  36
2.396  30
1.780  26
1.484  21

Calculated powder diffractogram
Compound: La4NdDy
Radiation: a wavelength of 1.5418 Å
Structure: a cell relaxed with PBE
No peak broadening, texture or thermal motion is included.

Atomic structure:
Cell: 3.683 5.247 11.048 Å, 90.00 90.00 90.00°
Positions (direct):
La 0.000 0.000 0.167
La 0.000 0.000 0.833
La 0.500 0.500 0.328
La 0.500 0.500 0.672
Nd 0.000 0.000 0.500
Dy 0.500 0.500 0.000

Principal peaks in the range 2θ from 10° to 80°, most intense first:
d [Å]  I_rel
3.014  100
2.604  34
1.571  29
1.848  24
2.624  17
1.580  15
1.507  12
1.841  12
1.302  4
1.312  2

Calculated powder diffractogram
Compound: La3Nd2Dy5
Radiation: a wavelength of 1.5418 Å
Structure: a cell relaxed with PBE
No peak broadening, texture or thermal motion is included.

Atomic structure:
Cell: 10.048 10.048 9.204 Å, 108.13 108.13 115.38°
Positions (direct):
La 0.022 0.272 0.046
La 0.230 0.770 0.750
La 0.272 0.022 0.546
La 0.728 0.978 0.454
La 0.770 0.230 0.250
La 0.978 0.728 0.954
Nd 0.236 0.474 0.462
Nd 0.474 0.236 0.962
Nd 0.526 0.764 0.038
Nd 0.764 0.526 0.538
Dy 0.027 0.973 0.750
Dy 0.141 0.368 0.761
Dy 0.276 0.724 0.250
Dy 0.368 0.141 0.261
Dy 0.470 0.530 0.250
Dy 0.530 0.470 0.750
Dy 0.632 0.859 0.739
Dy 0.724 0.276 0.750
Dy 0.859 0.632 0.239
Dy 0.973 0.027 0.250

Principal peaks in the range 2θ from 10° to 80°, most intense first:
d [Å]  I_rel
3.043  100
2.887  97
2.685  45
1.871  30
1.535  26
1.486  23
2.807  20
2.504  20
1.365  17
1.586  17
2.648  16
1.611  15